# 1
This entry pairs a crystal structure of Cr2BW with its simulated powder diffraction line list. Radiation: Cu Kα. Structure: a crystal structure in Alexandria, relaxed with PBE.
Kinematic intensities with the Lorentz-polarization factor, no thermal factor.

Atomic structure:
```
data_Cr2BW
_cell_length_a 2.916
_cell_length_b 17.384
_cell_length_c 3.588
_cell_angle_alpha 90.00
_cell_angle_beta 90.00
_cell_angle_gamma 90.00
_symmetry_space_group_name_H-M 'C m c m'
_symmetry_Int_Tables_number 63
_symmetry_space_group_name_Hall '-C 2c 2'
loop_
_atom_site_label
_atom_site_type_symbol
_atom_site_fract_x
_atom_site_fract_y
_atom_site_fract_z
Cr1 Cr 0.000 0.032 0.250
Cr2 Cr 0.000 0.248 0.750
B1 B 0.000 0.159 0.250
W1 W 0.000 0.381 0.250
```

Peak list (12 most intense, 10 to 90 degrees two-theta, low angle first)
d (Å)  Position (°2θ)  I_rel
4.346  20.44  27
3.317  26.88  79
2.605  34.43  40
2.254  40.00  58
2.244  40.18  18
2.234  40.37  39
2.173  41.56  27
2.108  42.90  100
1.897  47.96  20
1.794  50.90  25
1.399  66.88  17
1.296  73.02  25


# 2
This entry pairs a crystal structure of PmSmTl3 with its simulated powder diffraction line list. Radiation: Cu Kα. Structure: a crystal structure in Alexandria, relaxed with PBE.
Kinematic intensities with the Lorentz-polarization factor, no thermal factor.

Atomic structure:
```
data_PmSmTl3
_cell_length_a 12.343
_cell_length_b 11.248
_cell_length_c 8.706
_cell_angle_alpha 90.00
_cell_angle_beta 90.01
_cell_angle_gamma 90.00
_symmetry_space_group_name_H-M 'C 1 2/c 1'
_symmetry_Int_Tables_number 15
_symmetry_space_group_name_Hall '-C 2yc'
loop_
_atom_site_label
_atom_site_type_symbol
_atom_site_fract_x
_atom_site_fract_y
_atom_site_fract_z
Pm1 Pm 0.250 0.091 0.077
Sm1 Sm 0.000 0.131 0.750
Sm2 Sm 0.000 0.369 0.250
Tl1 Tl 0.091 0.116 0.403
Tl2 Tl 0.091 0.384 0.597
Tl3 Tl 0.250 0.170 0.718
```

Peak list (12 most intense, 10 to 90 degrees two-theta, low angle first)
d (Å)  Position (°2θ)  I_rel
6.013  14.73  11
3.532  25.22  30
2.890  30.94  49
2.812  31.82  34
2.641  33.95  35
2.580  34.77  100
2.517  35.66  11
2.338  38.51  15
1.798  50.79  11
1.608  57.29  13
1.588  58.10  11
1.475  63.03  14